Starting from a DFT-relaxed cell (PBE, the Materials Project), the PXRD pattern of Na3Eu9B8O27 was calculated for Cu Kα (λ = 1.5418 Å).
No peak broadening, texture or thermal motion is included.

Main lines, low angle first (10° ≤ 2θ ≤ 80°):
2θ = 10.4°, d 8.472, I = 14, (0 0 1)
2θ = 20.2°, d 4.405, I = 41, (1 1 0)
2θ = 22.8°, d 3.908, I = 25, (1 1 1)
2θ = 29.3°, d 3.053, I = 100, (1 1 2)
2θ = 35.3°, d 2.543, I = 40, (3 0 0)
2θ = 41.0°, d 2.202, I = 18, (2 2 0)
2θ = 42.7°, d 2.118, I = 14, (0 0 4)
2θ = 46.5°, d 1.954, I = 40, (2 2 2)
2θ = 47.6°, d 1.909, I = 13, (1 1 4)
2θ = 48.1°, d 1.891, I = 10, (3 0 3)
2θ = 56.5°, d 1.627, I = 20, (3 0 4)
2θ = 59.7°, d 1.549, I = 20, (4 1 2)

Atomic structure:
```
Na3Eu9B8O27
1.0
8.8093 0.0000 0.0000
-4.4046 7.6291 0.0000
0.0000 0.0000 8.4721
Na Eu B O
3 9 8 27
Direct
0.0000 0.3354 0.0000
0.3354 0.0000 0.0000
0.6646 0.6646 0.0000
0.0000 0.2813 0.5000
0.0000 0.6514 0.2370
0.0000 0.6514 0.7630
0.2813 0.0000 0.5000
0.3486 0.3486 0.2370
0.3486 0.3486 0.7630
0.6514 0.0000 0.2370
0.6514 0.0000 0.7630
0.7187 0.7187 0.5000
0.0000 0.0000 0.2098
0.0000 0.0000 0.7902
0.3333 0.6667 0.0000
0.3333 0.6667 0.3252
0.3333 0.6667 0.6748
0.6667 0.3333 0.0000
0.6667 0.3333 0.3252
0.6667 0.3333 0.6748
0.0000 0.1567 0.2121
0.0000 0.1567 0.7879
0.0000 0.7459 0.5000
0.1567 0.0000 0.2121
0.1567 0.0000 0.7879
0.1774 0.5113 0.3190
0.1774 0.5113 0.6810
0.1812 0.6778 0.0000
0.2541 0.2541 0.5000
0.3222 0.5034 0.0000
0.3339 0.8226 0.3190
0.3339 0.8226 0.6810
0.4887 0.6661 0.3190
0.4887 0.6661 0.6810
0.4966 0.8188 0.0000
0.5034 0.3222 0.0000
0.5113 0.1774 0.3190
0.5113 0.1774 0.6810
0.6661 0.4887 0.3190
0.6661 0.4887 0.6810
0.6778 0.1812 0.0000
0.7459 0.0000 0.5000
0.8188 0.4966 0.0000
0.8226 0.3339 0.3190
0.8226 0.3339 0.6810
0.8433 0.8433 0.2121
0.8433 0.8433 0.7879
```